HoCo12B6: computed powder diffraction line list (CuKα), based on a DFT-relaxed cell (PBE, the Materials Project).
Intensities are scaled so that the largest is 100.

```
data_HoCo12B6
_symmetry_space_group_name_H-M 'R -3 m'
_symmetry_Int_Tables_number 166
_symmetry_space_group_name_Hall '-R 3 2"'
_cell_length_a 9.3841
_cell_length_b 9.3841
_cell_length_c 7.4002
_cell_angle_alpha 90.00
_cell_angle_beta 90.00
_cell_angle_gamma 120.00
loop_
_atom_site_label
_atom_site_fract_x
_atom_site_fract_y
_atom_site_fract_z
Ho1 0.0000 0.0000 0.0000
Co1 0.0000 0.3677 0.5000
Co2 0.0897 0.1794 0.3654
B1 0.0363 0.5181 0.2849
```

The 6 most intense peaks (10° ≤ 2θ ≤ 90°), most intense first:
d (Å)  I (rel.)
2.156  100
2.183  59
2.736  40
2.709  33
1.925  24
1.564  21



HoCo2B2: computed powder diffraction line list (CuKα), based on a DFT-relaxed cell (PBE, the Materials Project).
Intensities are scaled so that the largest is 100.

```
data_HoCo2B2
_symmetry_space_group_name_H-M 'I 4/m m m'
_symmetry_Int_Tables_number 139
_symmetry_space_group_name_Hall '-I 4 2'
_cell_length_a 3.5448
_cell_length_b 3.5448
_cell_length_c 9.3154
_cell_angle_alpha 90.00
_cell_angle_beta 90.00
_cell_angle_gamma 90.00
loop_
_atom_site_label
_atom_site_fract_x
_atom_site_fract_y
_atom_site_fract_z
Ho1 0.0000 0.0000 0.0000
Co1 0.0000 0.5000 0.2500
B1 0.0000 0.0000 0.3510
```

The 6 most intense peaks (10° ≤ 2θ ≤ 90°), most intense first:
d (Å)  I (rel.)
2.207  100
3.313  88
2.336  47
1.411  41
1.772  28
2.329  28



HoCo4B4: computed powder diffraction line list (CuKα), based on a DFT-relaxed cell (PBE, the Materials Project).
Intensities are scaled so that the largest is 100.

```
data_HoCo4B4
_symmetry_space_group_name_H-M 'P 42/n m c'
_symmetry_Int_Tables_number 137
_cell_length_a 5.0028
_cell_length_b 5.0028
_cell_length_c 6.9742
_cell_angle_alpha 90.00
_cell_angle_beta 90.00
_cell_angle_gamma 90.00
loop_
_symmetry_equiv_pos_as_xyz
'x,y,z'
'-x,-y,-z'
'-y+1/2,x,z+1/2'
'y+1/2,-x,-z+1/2'
'-x+1/2,-y+1/2,z'
'x+1/2,y+1/2,-z'
'y,-x+1/2,z+1/2'
'-y,x+1/2,-z+1/2'
'x+1/2,-y,-z'
'-x+1/2,y,z'
'-y,-x,-z+1/2'
'y,x,z+1/2'
'-x,y+1/2,-z'
'x,-y+1/2,z'
'y+1/2,x+1/2,-z+1/2'
'-y+1/2,-x+1/2,z+1/2'
loop_
_atom_site_label
_atom_site_fract_x
_atom_site_fract_y
_atom_site_fract_z
Ho1 0.2500 0.7500 0.2500
Co1 0.0039 0.7500 0.6128
B1 0.0755 0.2500 0.0920
```

The 6 most intense peaks (10° ≤ 2θ ≤ 90°), most intense first:
d (Å)  I (rel.)
2.130  100
2.108  60
3.537  37
2.483  35
2.355  30
4.065  23



Which formula does entry 3 have? HoCo4B4



Which formula does entry 2 have? HoCo2B2